Starting from a cell relaxed with GGA-PBE, the powder diffractogram of RbNa8Pb4 was calculated for copper Kα.

Structural model:
```
RbNa8Pb4
1.0
-5.5908 5.5908 3.5178
5.5908 -5.5908 3.5178
5.5908 5.5908 -3.5178
Rb Na Pb
1 8 4
Cartesian
0.0000 0.0000 0.0000
3.6914 0.0000 0.0000
7.4902 0.0000 0.0000
5.5908 3.0280 0.0000
0.0000 3.6914 0.0000
3.0280 5.5908 0.0000
2.5628 0.0000 3.5178
0.0000 7.4902 0.0000
0.0000 2.5628 3.5178
2.7954 2.7954 -1.7589
2.7954 -2.7954 1.7589
-2.7954 2.7954 1.7589
2.7954 2.7954 1.7589
```

Peak list (10 most intense, 5° ≤ 2θ ≤ 70°, by angle)
d_spacing  intensity
5.591  100.0
3.953  52.1
2.977  78.7
2.795  40.6
2.628  50.6
2.500  36.3
2.038  46.4
1.647  16.7
1.580  18.1
1.419  17.7

Starting from a cell relaxed with GGA-PBE, the powder diffractogram of TbPr2SmSc was calculated for copper Kα.

Structural model:
```
TbPr2SmSc
1.0
6.3112 0.0000 0.0000
0.0000 7.8453 0.0000
0.0000 0.0000 6.6462
Tb Pr Sm Sc
2 4 2 2
Cartesian
1.5778 0.0000 0.6173
4.7334 0.0000 6.0289
1.5778 2.3103 4.7799
1.5778 5.5350 4.7799
4.7334 2.3103 1.8664
4.7334 5.5350 1.8664
1.5778 3.9226 1.2913
4.7334 3.9226 5.3550
0.0000 0.0000 3.3231
3.1556 0.0000 3.3231
```

Peak list (10 most intense, 5° ≤ 2θ ≤ 70°, by angle)
d_spacing  intensity
3.323  11.3
3.156  40.3
3.060  21.7
2.978  100.0
2.940  27.3
2.306  17.1
2.288  14.5
2.271  14.9
1.786  22.6
1.632  19.5

Starting from a cell relaxed with GGA-PBE, the powder diffractogram of SmDy2Tl4 was calculated for copper Kα.

Structural model:
```
SmDy2Tl4
1.0
7.6124 0.0000 0.0000
0.0000 7.6124 0.0000
0.0000 0.0000 7.3736
Sm Dy Tl
2 4 8
Cartesian
0.0000 0.0000 0.0000
3.8062 3.8062 3.6868
0.0000 3.8062 0.0000
0.0000 3.8062 3.6868
3.8062 0.0000 0.0000
3.8062 0.0000 3.6868
1.9031 1.9031 1.8434
1.9031 1.9031 5.5302
1.9031 5.7093 1.8434
1.9031 5.7093 5.5302
5.7093 1.9031 1.8434
5.7093 1.9031 5.5302
5.7093 5.7093 1.8434
5.7093 5.7093 5.5302
```

Peak list (10 most intense, 5° ≤ 2θ ≤ 70°, by angle)
d_spacing  intensity
5.383  5.2
5.296  7.9
3.806  8.3
2.691  52.3
2.648  100.0
1.903  19.3
1.843  8.7
1.545  39.6
1.521  18.8
1.346  6.3

Starting from a cell relaxed with GGA-PBE, the powder diffractogram of Zn2InPt2 was calculated for copper Kα.

Structural model:
```
Zn2InPt2
1.0
7.5390 0.0000 0.0000
0.0000 7.5390 0.0000
0.0000 0.0000 2.9435
Zn In Pt
4 2 4
Cartesian
1.0522 2.7172 0.0000
2.7172 6.4867 0.0000
4.8217 1.0522 0.0000
6.4867 4.8217 0.0000
0.0000 0.0000 1.4718
3.7695 3.7695 1.4718
1.1752 4.9447 1.4718
2.5943 1.1752 1.4718
4.9447 6.3638 1.4718
6.3638 2.5943 1.4718
```

Peak list (10 most intense, 5° ≤ 2θ ≤ 70°, by angle)
d_spacing  intensity
3.372  32.7
2.944  21.4
2.665  8.1
2.384  62.6
2.217  100.0
1.885  8.0
1.853  21.8
1.777  10.2
1.553  14.0
1.472  8.6